# Cs4Pu3ZrSe8
Calculated PXRD pattern, Cu Kα (λ = 1.5418 Å). Input: a DFT-relaxed cell (PBE, Alexandria).

Main lines, by angle (10° ≤ 2θ ≤ 90°):
d 8.359, 10.6°, rel. 24; d 4.179, 21.3°, rel. 15; d 3.542, 25.1°, rel. 19; d 3.182, 28.0°, rel. 100; d 2.390, 37.6°, rel. 34; d 2.132, 42.4°, rel. 36; d 2.075, 43.6°, rel. 13; d 1.899, 47.9°, rel. 11; d 1.771, 51.6°, rel. 18; d 1.362, 68.9°, rel. 15

Crystal structure
```
data_Cs4Pu3ZrSe8
_chemical_formula_sum 'Cs4 Pu3 Zr1 Se8'
_cell_length_a 9.7011
_cell_length_b 9.7011
_cell_length_c 9.7011
_cell_angle_alpha 52.15
_cell_angle_beta 52.15
_cell_angle_gamma 52.15
_symmetry_space_group_name_H-M 'P 1'
_symmetry_Int_Tables_number 1
_symmetry_space_group_name_Hall 'P 1'
loop_
_atom_site_label
_atom_site_fract_x
_atom_site_fract_y
_atom_site_fract_z
_atom_site_occupancy
Cs1 0.0000 0.0000 0.0000 1
Cs2 0.0000 0.5000 0.5000 1
Cs3 0.5000 0.0000 0.5000 1
Cs4 0.5000 0.5000 0.0000 1
Pu1 0.0000 0.0000 0.5000 1
Pu2 0.0000 0.5000 0.0000 1
Pu3 0.5000 0.0000 0.0000 1
Zr1 0.5000 0.5000 0.5000 1
Se1 0.2290 0.2290 0.2290 1
Se2 0.2451 0.7190 0.7190 1
Se3 0.2810 0.2810 0.7549 1
Se4 0.2810 0.7549 0.2810 1
Se5 0.7190 0.2451 0.7190 1
Se6 0.7190 0.7190 0.2451 1
Se7 0.7549 0.2810 0.2810 1
Se8 0.7710 0.7710 0.7710 1
```